This entry pairs a crystal structure of Y2MnC4 with its simulated powder XRD pattern. Radiation: Cu Kα, 1.54184 Å. Structure: DFT lattice parameters and positions (PBE).
Lines closer than 0.1° are merged.

Crystal structure
```
Y2MnC4
1.0
-3.791 4.808 2.530
3.791 -4.808 2.530
3.791 4.808 -2.530
Y Mn C
4 2 8
direct
0.146 0.155 0.301
0.354 0.655 0.009
0.646 0.345 0.991
0.854 0.845 0.699
0.250 0.750 0.500
0.750 0.250 0.500
0.078 0.671 0.750
0.129 0.841 0.970
0.371 0.341 0.712
0.422 0.171 0.593
0.578 0.829 0.407
0.629 0.659 0.288
0.871 0.159 0.030
0.922 0.329 0.250
```

Principal peaks in the range 10 to 90 degrees two-theta, in order of rising 2θ:
Position (°2θ), intensity
28.18, 924
30.27, 836
30.91, 1000
35.49, 293
36.77, 484
38.67, 449
42.98, 241
52.49, 492
56.67, 223
59.17, 489



This entry pairs a crystal structure of Mo4C3 with its simulated powder XRD pattern. Radiation: Cu Kα, 1.54184 Å. Structure: DFT lattice parameters and positions (PBE).
Lines closer than 0.1° are merged.

Crystal structure
```
Mo4C3
1.0
1.548 0.894 9.714
-1.548 0.894 9.714
0.000 -1.788 9.714
Mo C
4 3
direct
0.122 0.122 0.122
0.375 0.375 0.375
0.625 0.625 0.625
0.878 0.878 0.878
0.256 0.256 0.256
0.500 0.500 0.500
0.744 0.744 0.744
```

Principal peaks in the range 10 to 90 degrees two-theta, in order of rising 2θ:
Position (°2θ), intensity
35.67, 1000
37.02, 296
41.82, 852
59.72, 285
61.54, 243
71.54, 130
72.38, 247
74.04, 111
75.55, 140
78.82, 37



This entry pairs a crystal structure of Mo2C3N6 with its simulated powder XRD pattern. Radiation: Cu Kα, 1.54184 Å. Structure: DFT lattice parameters and positions (PBE).
Lines closer than 0.1° are merged.

Crystal structure
```
Mo2C3N6
1.0
2.564 1.481 10.249
-2.564 1.481 10.249
0.000 -2.961 10.249
Mo C N
4 6 12
direct
0.167 0.167 0.167
0.333 0.333 0.333
0.667 0.667 0.667
0.833 0.833 0.833
0.084 0.750 0.416
0.250 0.584 0.916
0.416 0.084 0.750
0.584 0.916 0.250
0.750 0.416 0.084
0.916 0.250 0.584
0.049 0.694 0.387
0.113 0.806 0.451
0.194 0.549 0.887
0.306 0.613 0.951
0.387 0.049 0.694
0.451 0.113 0.806
0.549 0.887 0.194
0.613 0.951 0.306
0.694 0.387 0.049
0.806 0.451 0.113
0.887 0.194 0.549
0.951 0.306 0.613
```

Principal peaks in the range 10 to 90 degrees two-theta, in order of rising 2θ:
Position (°2θ), intensity
17.30, 691
20.82, 595
23.13, 461
30.76, 199
35.00, 407
39.29, 1000
50.34, 491
62.76, 209
65.66, 321
73.94, 169



This entry pairs a crystal structure of MoC6N9 with its simulated powder XRD pattern. Radiation: Cu Kα, 1.54184 Å. Structure: DFT lattice parameters and positions (PBE).
Lines closer than 0.1° are merged.

Crystal structure
```
MoC6N9
1.0
3.601 -6.793 0.000
3.601 6.793 0.000
0.000 0.000 11.256
Mo C N
2 12 18
direct
0.227 0.773 0.750
0.773 0.227 0.250
0.040 0.274 0.750
0.193 0.492 0.089
0.193 0.492 0.411
0.274 0.040 0.250
0.492 0.193 0.589
0.492 0.193 0.911
0.508 0.807 0.089
0.508 0.807 0.411
0.726 0.960 0.750
0.807 0.508 0.589
0.807 0.508 0.911
0.960 0.726 0.250
0.027 0.361 0.129
0.027 0.361 0.371
0.071 0.929 0.250
0.147 0.460 0.750
0.361 0.027 0.629
0.361 0.027 0.871
0.370 0.630 0.041
0.370 0.630 0.459
0.460 0.147 0.250
0.540 0.853 0.750
0.630 0.370 0.541
0.630 0.370 0.959
0.639 0.973 0.129
0.639 0.973 0.371
0.853 0.540 0.250
0.929 0.071 0.750
0.973 0.639 0.629
0.973 0.639 0.871
```

Principal peaks in the range 10 to 90 degrees two-theta, in order of rising 2θ:
Position (°2θ), intensity
13.03, 1000
15.75, 487
16.00, 868
20.49, 257
21.07, 218
24.53, 649
27.15, 294
27.43, 177
27.60, 421
46.82, 180



This entry pairs a crystal structure of Mo2C3N6 with its simulated powder XRD pattern. Radiation: Cu Kα, 1.54184 Å. Structure: DFT lattice parameters and positions (PBE).
Lines closer than 0.1° are merged.

Crystal structure
```
Mo2C3N6
1.0
6.694 -1.574 0.000
6.694 1.574 0.000
-0.683 0.000 5.111
Mo C N
2 3 6
direct
0.131 0.131 0.060
0.869 0.869 0.940
0.000 0.000 0.500
0.328 0.328 0.416
0.672 0.672 0.584
0.010 0.010 0.743
0.306 0.306 0.169
0.343 0.343 0.653
0.657 0.657 0.347
0.694 0.694 0.831
0.990 0.990 0.257
```

Principal peaks in the range 10 to 90 degrees two-theta, in order of rising 2θ:
Position (°2θ), intensity
17.35, 1000
26.88, 537
29.16, 517
30.11, 369
33.65, 670
34.11, 267
38.03, 300
40.55, 429
45.53, 342
52.45, 232



This entry pairs a crystal structure of Mo3C8S13N2 with its simulated powder XRD pattern. Radiation: Cu Kα, 1.54184 Å. Structure: DFT lattice parameters and positions (PBE).
Lines closer than 0.1° are merged.

Crystal structure
```
Mo3C8S13N2
1.0
6.482 0.000 0.000
1.328 10.288 0.000
0.987 4.843 9.422
Mo C S N
3 8 13 2
direct
0.000 0.000 0.000
0.004 0.135 0.710
0.984 0.297 0.854
0.242 0.455 0.220
0.300 0.820 0.582
0.332 0.972 0.526
0.360 0.586 0.120
0.406 0.783 0.466
0.436 0.411 0.152
0.439 0.464 0.284
0.502 0.913 0.465
0.016 0.406 0.588
0.048 0.865 0.857
0.184 0.483 0.856
0.207 0.143 0.488
0.218 0.804 0.181
0.277 0.134 0.850
0.727 0.165 0.036
0.738 0.333 0.680
0.758 0.964 0.860
0.881 0.535 0.858
0.899 0.120 0.499
0.917 0.780 0.224
0.999 0.160 0.118
0.526 0.763 0.590
0.575 0.512 0.156
```

Principal peaks in the range 10 to 90 degrees two-theta, in order of rising 2θ:
Position (°2θ), intensity
13.78, 1000
15.93, 383
16.07, 341
16.40, 318
17.00, 279
17.62, 177
18.04, 152
35.41, 161
37.05, 128
42.08, 169



This entry pairs a crystal structure of Mo3C8S13N2 with its simulated powder XRD pattern. Radiation: Cu Kα, 1.54184 Å. Structure: DFT lattice parameters and positions (PBE).
Lines closer than 0.1° are merged.

Crystal structure
```
Mo3C8S13N2
1.0
5.883 0.000 0.000
-0.034 10.833 0.000
-0.022 -5.399 9.404
Mo C S N
3 8 13 2
direct
0.000 0.000 0.000
0.000 0.146 0.855
0.002 0.291 0.145
0.530 0.902 0.330
0.532 0.475 0.757
0.564 0.387 0.570
0.568 0.814 0.428
0.571 0.575 0.670
0.573 0.716 0.240
0.743 0.476 0.678
0.743 0.827 0.334
0.085 0.774 0.000
0.086 0.146 0.629
0.090 0.516 0.370
0.277 0.965 0.820
0.278 0.145 0.181
0.279 0.327 0.000
0.697 0.145 0.000
0.759 0.814 0.999
0.760 0.145 0.670
0.764 0.476 0.330
0.969 0.879 0.734
0.972 0.145 0.266
0.972 0.412 0.000
0.375 0.482 0.654
0.377 0.795 0.331
```

Principal peaks in the range 10 to 90 degrees two-theta, in order of rising 2θ:
Position (°2θ), intensity
15.06, 518
16.35, 228
17.79, 1000
25.08, 108
28.51, 122
36.52, 175
37.80, 183
41.90, 110
44.81, 186
52.75, 130



This entry pairs a crystal structure of Mo3C8Se13N2 with its simulated powder XRD pattern. Radiation: Cu Kα, 1.54184 Å. Structure: DFT lattice parameters and positions (PBE).
Lines closer than 0.1° are merged.

Crystal structure
```
Mo3C8Se13N2
1.0
5.388 -9.623 0.000
5.388 9.623 0.000
-0.851 0.000 6.651
Mo C Se N
3 8 13 2
direct
0.000 0.000 0.000
0.701 0.846 0.973
0.846 0.701 0.973
0.109 0.480 0.303
0.154 0.378 0.310
0.234 0.486 0.479
0.240 0.619 0.407
0.378 0.154 0.310
0.480 0.109 0.303
0.486 0.234 0.479
0.619 0.240 0.407
0.023 0.844 0.725
0.127 0.856 0.044
0.223 0.223 0.889
0.228 0.228 0.236
0.468 0.839 0.837
0.507 0.848 0.174
0.566 0.566 0.989
0.653 0.653 0.690
0.839 0.468 0.837
0.844 0.023 0.725
0.848 0.507 0.174
0.856 0.127 0.044
0.858 0.858 0.275
0.123 0.520 0.525
0.520 0.123 0.525
```

Principal peaks in the range 10 to 90 degrees two-theta, in order of rising 2θ:
Position (°2θ), intensity
13.31, 1000
15.47, 451
16.17, 377
21.63, 187
28.64, 356
35.83, 174
36.15, 179
41.19, 218
43.00, 195
44.11, 212